Record 1
Structure and calculated powder diffractogram of Sr5U5O19 (the GGA-PBE geometry in the Materials Project; Cu Kα X-rays).
Lines closer than 0.1° are merged.

Principal peaks in the range 2θ = 15–90°, sorted by position:
two_theta, I/Imax, hkl
26.1, 24, 1 1 1
27.4, 100, -1 2 1
27.6, 49, 2 0 -1
28.7, 45, 0 2 -2
32.1, 45, 1 2 0
45.5, 34, 3 0 1

Cell and atoms:
a b c (Å): 6.8932 7.7689 8.7493
angles (deg): 100.05 97.52 107.30
Space group P1 (No. 1)
Inequivalent atoms, fractional coordinates:
1 Sr 0.0000 0.0000 0.0000
2 Sr 0.1821 0.3895 0.4065
3 Sr 0.4001 0.7963 0.8118
4 Sr 0.5985 0.1984 0.2116
5 Sr 0.7944 0.5938 0.6050
6 U 0.2084 0.9027 0.4205
7 U 0.3922 0.2937 0.8015
8 U 0.5775 0.6947 0.2083
9 U 0.7938 0.1012 0.6105
10 U 0.9979 0.4823 0.9986
11 O 0.0402 0.6912 0.8850
12 O 0.0508 0.2426 0.8335
13 O 0.1265 0.1311 0.5721
14 O 0.1616 0.7076 0.5471
15 O 0.1923 0.6695 0.2246
16 O 0.2340 0.0785 0.2752
17 O 0.3420 0.5308 0.9830
18 O 0.3681 0.1150 0.9423
19 O 0.4303 0.4841 0.6760
20 O 0.4559 0.0552 0.6441
21 O 0.5252 0.5016 0.3359
22 O 0.5430 0.9326 0.3843
23 O 0.6479 0.8881 0.0797
24 O 0.7209 0.5179 0.0745
25 O 0.7353 0.3450 0.7858
26 O 0.7559 0.8963 0.7256
27 O 0.8305 0.2929 0.4814
28 O 0.8713 0.8179 0.3765
29 O 0.9524 0.2914 0.1303

***

Record 2
Structure and calculated powder diffractogram of Sc2CoPt (the GGA-PBE geometry in the Materials Project; Cu Kα X-rays).
Lines closer than 0.1° are merged.

Principal peaks in the range 2θ = 15–90°, sorted by position:
two_theta, I/Imax, hkl
23.9, 34, 1 1 1
27.6, 29, 2 0 0
39.5, 100, 2 2 0
46.6, 18, 3 1 1
57.0, 16, 4 0 0
71.6, 33, 4 2 2

Cell and atoms:
a b c (Å): 6.4600 6.4600 6.4600
angles (deg): 90.00 90.00 90.00
Space group Fm-3m (No. 225)
Inequivalent atoms, fractional coordinates:
1 Sc 0.2500 0.2500 0.2500
2 Co 0.0000 0.0000 0.0000
3 Pt 0.0000 0.0000 0.5000

***

Record 3
Structure and calculated powder diffractogram of KAs2F7 (the GGA-PBE geometry in the Materials Project; Cu Kα X-rays).
Lines closer than 0.1° are merged.

Principal peaks in the range 2θ = 15–90°, sorted by position:
two_theta, I/Imax, hkl
19.8, 71, 1 0 -2
20.8, 67, 2 1 0
25.5, 74, 1 0 2
26.1, 100, 0 2 1
28.4, 74, 3 1 0
43.8, 63, 3 3 -1

Cell and atoms:
a b c (Å): 11.1191 7.4678 8.9675
angles (deg): 90.00 110.52 90.00
Space group P2_1/c (No. 14)
Inequivalent atoms, fractional coordinates:
1 K 0.0781 0.1548 0.2235
2 As 0.2256 0.6807 0.1599
3 As 0.4036 0.1704 0.1287
4 F 0.0663 0.6797 0.5996
5 F 0.1330 0.5048 0.2065
6 F 0.1771 0.6259 0.9515
7 F 0.2360 0.2023 0.0179
8 F 0.3663 0.5058 0.1964
9 F 0.3713 0.1213 0.3055
10 F 0.3902 0.5604 0.5664

***

Record 4
Structure and calculated powder diffractogram of SrI2O (the GGA-PBE geometry in the Materials Project; Cu Kα X-rays).
Lines closer than 0.1° are merged.

Principal peaks in the range 2θ = 15–90°, sorted by position:
two_theta, I/Imax, hkl
23.3, 57, 1 1 1
23.9, 81, 2 1 0
26.3, 100, 4 0 0
29.2, 95, 1 1 2
33.2, 64, 2 0 3
34.8, 68, 3 1 2

Cell and atoms:
a b c (Å): 13.5706 4.4548 8.8317
angles (deg): 90.00 90.00 90.00
Space group Pnma (No. 62)
Inequivalent atoms, fractional coordinates:
1 Sr 0.1515 0.2500 0.1065
2 I 0.1056 0.7500 0.8141
3 I 0.1237 0.7500 0.4375
4 O 0.1449 0.7500 0.2122

***

Record 5
Structure and calculated powder diffractogram of CuTeO4 (the GGA-PBE geometry in the Materials Project; Cu Kα X-rays).
Lines closer than 0.1° are merged.

Principal peaks in the range 2θ = 15–90°, sorted by position:
two_theta, I/Imax, hkl
19.4, 100, 1 0 -1
29.5, 30, 1 0 1
34.5, 41, 0 1 1
35.0, 20, 1 1 0
36.5, 17, 2 0 0
44.3, 28, 1 1 -2

Cell and atoms:
a b c (Å): 5.3558 3.0062 5.6385
angles (deg): 90.00 113.07 90.00
Space group P2/m (No. 10)
Inequivalent atoms, fractional coordinates:
1 Cu 0.0000 0.0000 0.0000
2 Te 0.5000 0.5000 0.5000
3 O 0.1327 0.5000 0.2390
4 O 0.4038 0.0000 0.6817

***

Record 6
Structure and calculated powder diffractogram of K2RbSbBr6 (the GGA-PBE geometry in the Materials Project; Cu Kα X-rays).
Lines closer than 0.1° are merged.

Principal peaks in the range 2θ = 15–90°, sorted by position:
two_theta, I/Imax, hkl
25.5, 42, 2 2 2
29.5, 100, 4 0 0
33.1, 39, 4 2 0
42.3, 70, 4 4 0
52.4, 23, 4 4 4
69.5, 27, 8 4 0

Cell and atoms:
a b c (Å): 12.0974 12.0974 12.0974
angles (deg): 90.00 90.00 90.00
Space group Fm-3m (No. 225)
Inequivalent atoms, fractional coordinates:
1 K 0.2500 0.2500 0.2500
2 Rb 0.0000 0.0000 0.0000
3 Sb 0.0000 0.0000 0.5000
4 Br 0.0000 0.0000 0.2678

***

Record 7
Structure and calculated powder diffractogram of Na2Hg3S4O2 (the GGA-PBE geometry in the Materials Project; Cu Kα X-rays).
Lines closer than 0.1° are merged.

Principal peaks in the range 2θ = 15–90°, sorted by position:
two_theta, I/Imax, hkl
25.6, 47, 0 0 4
26.9, 100, 2 0 2
31.5, 64, 1 3 0
34.1, 97, 1 3 2
35.1, 70, 2 0 4
41.0, 63, 1 3 4

Cell and atoms:
a b c (Å): 7.5304 9.2123 13.9292
angles (deg): 90.00 90.00 90.00
Space group Ibam (No. 72)
Inequivalent atoms, fractional coordinates:
1 Na 0.0157 0.2397 0.0000
2 Hg 0.0000 0.1766 0.2500
3 Hg 0.0000 0.5000 0.2500
4 S 0.2485 0.4393 0.1044
5 O 0.2367 0.4531 0.5000